Record 1
Structure and theoretical powder X-ray diffraction pattern of EuMgBi (a PBE-relaxed structure; Cu Kα).

Crystal structure
Lattice parameters (Å, degrees): 6.484 6.484 6.484 144.31 144.31 51.37
Atoms (fractional coordinates):
1 Eu 0.000 0.000 0.000
2 Mg 0.693 0.693 0.000
3 Bi 0.317 0.317 0.000

Principal peaks in the range 2θ = 10–80°, in order of rising 2θ:
2θ (°)	Rel. int.
15.2	19
23.6	46
31.8	54
32.2	100
44.7	15
45.7	20
56.9	40
57.6	17

Record 2
Structure and theoretical powder X-ray diffraction pattern of NdPd6Au (a PBE-relaxed structure; Cu Kα).

Crystal structure
Lattice parameters (Å, degrees): 5.221 5.221 5.221 90.00 90.00 90.00
Atoms (fractional coordinates):
1 Nd 0.000 0.000 0.000
2 Pd 0.000 0.256 0.500
3 Pd 0.000 0.744 0.500
4 Pd 0.256 0.500 0.000
5 Pd 0.500 0.000 0.256
6 Pd 0.500 0.000 0.744
7 Pd 0.744 0.500 0.000
8 Au 0.500 0.500 0.500

Principal peaks in the range 2θ = 10–80°, in order of rising 2θ:
2θ (°)	Rel. int.
24.1	11
34.3	45
38.6	80
42.4	100
61.5	3
64.3	17
67.1	51
72.4	16

Record 3
Structure and theoretical powder X-ray diffraction pattern of GdSO4F (a PBE-relaxed structure; Cu Kα).

Crystal structure
Lattice parameters (Å, degrees): 8.524 7.088 6.501 90.00 90.00 90.00
Atoms (fractional coordinates):
1 Gd 0.055 0.250 0.151
2 Gd 0.445 0.750 0.651
3 Gd 0.555 0.250 0.349
4 Gd 0.945 0.750 0.849
5 S 0.092 0.750 0.314
6 S 0.408 0.250 0.814
7 S 0.592 0.750 0.186
8 S 0.908 0.250 0.686
9 O 0.018 0.250 0.513
10 O 0.060 0.584 0.175
11 O 0.060 0.916 0.175
12 O 0.244 0.250 0.879
13 O 0.256 0.750 0.379
14 O 0.440 0.084 0.675
15 O 0.440 0.416 0.675
16 O 0.482 0.750 0.013
17 O 0.518 0.250 0.987
18 O 0.560 0.584 0.325
19 O 0.560 0.916 0.325
20 O 0.744 0.250 0.621
21 O 0.756 0.750 0.121
22 O 0.940 0.084 0.825
23 O 0.940 0.416 0.825
24 O 0.982 0.750 0.487
25 F 0.206 0.750 0.799
26 F 0.294 0.250 0.299
27 F 0.706 0.750 0.701
28 F 0.794 0.250 0.201

Principal peaks in the range 2θ = 10–80°, in order of rising 2θ:
2θ (°)	Rel. int.
17.2	50
18.5	53
20.8	61
25.0	55
25.1	100
32.1	93
44.8	29
48.8	47

Record 4
Structure and theoretical powder X-ray diffraction pattern of K2Li2OsO6 (a PBE-relaxed structure; Cu Kα).

Crystal structure
Lattice parameters (Å, degrees): 5.284 5.284 6.061 90.00 90.00 120.00
Atoms (fractional coordinates):
1 K 0.333 0.667 0.000
2 K 0.667 0.333 0.000
3 Li 0.333 0.667 0.500
4 Li 0.667 0.333 0.500
5 Os 0.000 0.000 0.500
6 O 0.000 0.294 0.324
7 O 0.000 0.706 0.676
8 O 0.294 0.000 0.324
9 O 0.294 0.294 0.676
10 O 0.706 0.000 0.676
11 O 0.706 0.706 0.324

Principal peaks in the range 2θ = 10–80°, in order of rising 2θ:
2θ (°)	Rel. int.
14.6	27
19.4	38
24.4	100
33.9	22
42.2	20
45.5	33
55.2	19
71.8	17

Record 5
Structure and theoretical powder X-ray diffraction pattern of Na3CdAu4 (a PBE-relaxed structure; Cu Kα).

Crystal structure
Lattice parameters (Å, degrees): 4.824 6.036 6.476 95.91 90.01 90.49
Atoms (fractional coordinates):
1 Na 0.000 0.000 0.000
2 Na 0.498 0.228 0.341
3 Na 0.502 0.772 0.659
4 Cd 0.000 0.500 0.000
5 Au 0.004 0.802 0.376
6 Au 0.498 0.295 0.842
7 Au 0.502 0.705 0.158
8 Au 0.996 0.198 0.624

Principal peaks in the range 2θ = 10–80°, in order of rising 2θ:
2θ (°)	Rel. int.
19.1	100
23.0	23
37.3	30
37.9	24
38.0	24
39.0	21
39.3	21
46.3	23

Record 6
Structure and theoretical powder X-ray diffraction pattern of GaPt2 (a PBE-relaxed structure; Cu Kα).

Crystal structure
Lattice parameters (Å, degrees): 16.720 3.954 5.564 90.00 90.00 90.00
Atoms (fractional coordinates):
1 Ga 0.000 0.000 0.000
2 Ga 0.093 0.500 0.313
3 Ga 0.250 0.500 0.794
4 Ga 0.407 0.500 0.313
5 Ga 0.500 0.000 0.000
6 Ga 0.593 0.500 0.687
7 Ga 0.750 0.500 0.206
8 Ga 0.907 0.500 0.687
9 Pt 0.000 0.000 0.500
10 Pt 0.069 0.500 0.792
11 Pt 0.156 0.000 0.049
12 Pt 0.168 0.000 0.556
13 Pt 0.250 0.500 0.266
14 Pt 0.332 0.000 0.556
15 Pt 0.344 0.000 0.049
16 Pt 0.431 0.500 0.792
17 Pt 0.500 0.000 0.500
18 Pt 0.569 0.500 0.208
19 Pt 0.656 0.000 0.951
20 Pt 0.668 0.000 0.444
21 Pt 0.750 0.500 0.734
22 Pt 0.832 0.000 0.444
23 Pt 0.844 0.000 0.951
24 Pt 0.931 0.500 0.208

Principal peaks in the range 2θ = 10–80°, in order of rising 2θ:
2θ (°)	Rel. int.
22.6	10
32.1	11
39.6	100
40.0	14
42.3	7
45.9	20
46.1	26
67.1	21